Structure and calculated XRD peak list of Ac8PmTl6 (a crystal structure in Alexandria, relaxed with GGA-PBE; λ = 1.5418 Å (Cu Kα)).
Neutral-atom scattering factors, no anomalous dispersion.

Structural model:
Unit cell a=9.8202 b=9.8202 c=21.0989 alpha=90.00 beta=90.00 gamma=120.00
Space group R-3 (No. 148, hexagonal axes)
Inequivalent atoms, fractional coordinates:
Ac1 0.0000 0.0000 0.1647
Ac2 0.0016 0.3390 0.3873
Pm1 0.0000 0.0000 0.5000
Tl1 0.9995 0.3209 0.5561

Most intense lines, 2θ from 10° to 80°, by angle:
hkl 1 1 0, 2θ = 18.1°, I = 17
hkl 1 1 3, 2θ = 22.1°, I = 20
hkl 2 -1 6, 2θ = 31.3°, I = 100
hkl 3 0 0, 2θ = 31.6°, I = 92
hkl 2 2 6, 2θ = 45.0°, I = 37
hkl 1 1 12, 2θ = 55.5°, I = 20
hkl 5 -1 6, 2θ = 56.0°, I = 38
hkl 3 3 0, 2θ = 56.2°, I = 18
hkl 4 1 12, 2θ = 74.3°, I = 17
hkl 5 2 6, 2θ = 74.8°, I = 16



Structure and calculated XRD peak list of Ac3PmTl (a crystal structure in Alexandria, relaxed with GGA-PBE; λ = 1.5418 Å (Cu Kα)).
Neutral-atom scattering factors, no anomalous dispersion.

Structural model:
Unit cell a=5.2612 b=27.2479 c=5.2620 alpha=90.00 beta=90.00 gamma=90.00
Space group Cmcm (No. 63)
Inequivalent atoms, fractional coordinates:
Ac1 0.0000 0.0545 0.2500
Ac2 0.0000 0.2504 0.2500
Ac3 0.0000 0.4424 0.2500
Pm1 0.0000 0.3473 0.7500
Tl1 0.0000 0.1534 0.7500

Most intense lines, 2θ from 10° to 80°, by angle:
hkl 1 5 1, 2θ = 29.1°, I = 100
hkl 0 10 0, 2θ = 32.9°, I = 17
hkl 2 0 0, 2θ = 34.1°, I = 34
hkl 2 10 0, 2θ = 48.1°, I = 24
hkl 2 0 2, 2θ = 49.0°, I = 12
hkl 1 15 1, 2θ = 56.4°, I = 14
hkl 3 5 1, 2θ = 58.0°, I = 30
hkl 2 10 2, 2θ = 60.2°, I = 12
hkl 3 15 1, 2θ = 77.9°, I = 11
hkl 3 5 3, 2θ = 79.2°, I = 11



Structure and calculated XRD peak list of Ac4PmTl5 (a crystal structure in Alexandria, relaxed with GGA-PBE; λ = 1.5418 Å (Cu Kα)).
Neutral-atom scattering factors, no anomalous dispersion.

Structural model:
Unit cell a=4.0225 b=4.0225 c=21.0485 alpha=90.00 beta=90.00 gamma=90.00
Space group P4/mmm (No. 123)
Inequivalent atoms, fractional coordinates:
Ac1 0.0000 0.0000 0.1038
Ac2 0.0000 0.0000 0.3098
Pm1 0.0000 0.0000 0.5000
Tl1 0.5000 0.5000 0.0000
Tl2 0.5000 0.5000 0.2077
Tl3 0.5000 0.5000 0.4140

Most intense lines, 2θ from 10° to 80°, by angle:
hkl 1 0 5, 2θ = 30.7°, I = 100
hkl 1 1 0, 2θ = 31.5°, I = 51
hkl 0 0 10, 2θ = 43.0°, I = 8
hkl 2 0 0, 2θ = 45.1°, I = 19
hkl 1 1 10, 2θ = 54.2°, I = 17
hkl 2 1 5, 2θ = 55.6°, I = 39
hkl 2 0 10, 2θ = 64.0°, I = 10
hkl 2 2 0, 2θ = 65.6°, I = 6
hkl 3 0 5, 2θ = 74.2°, I = 8
hkl 3 1 0, 2θ = 74.6°, I = 9



Structure and calculated XRD peak list of Ac5Pm4Tl4 (a crystal structure in Alexandria, relaxed with GGA-PBE; λ = 1.5418 Å (Cu Kα)).
Neutral-atom scattering factors, no anomalous dispersion.

Structural model:
Unit cell a=13.5879 b=13.5879 c=5.1275 alpha=90.00 beta=90.00 gamma=90.00
Space group I4/m (No. 87)
Inequivalent atoms, fractional coordinates:
Ac1 0.0000 0.0000 0.0000
Ac2 0.1224 0.7990 0.5000
Pm1 0.0886 0.4029 0.5000
Tl1 0.0739 0.2438 0.0000

Most intense lines, 2θ from 10° to 80°, by angle:
hkl 3 0 1, 2θ = 26.3°, I = 22
hkl 3 2 1, 2θ = 29.4°, I = 100
hkl 1 4 1, 2θ = 32.3°, I = 24
hkl 1 5 0, 2θ = 33.6°, I = 18
hkl 0 0 2, 2θ = 35.0°, I = 23
hkl 4 2 2, 2θ = 46.3°, I = 13
hkl 1 5 2, 2θ = 49.3°, I = 13
hkl 6 6 0, 2θ = 57.6°, I = 13
hkl 3 2 3, 2θ = 59.4°, I = 12
hkl 3 8 1, 2θ = 61.0°, I = 16